1.
Theoretical XRD peak list
Compound: Ac3In9Ag2
Radiation: CuKα
Structure: a PBE-relaxed structure
Peak positions follow from Bragg's law for the DFT cell and can differ from measured ones.

Cell and atoms:
Unit cell a=9.3295 b=9.3295 c=9.3295 alpha=149.69 beta=105.31 gamma=82.68
Element x y z (fractional)
Ac  0.0000  0.0000  0.0000
Ac  0.3174  0.3174  0.0000
Ac  0.6826  0.6826  0.0000
In  0.0328  0.6624  0.3704
In  0.1438  0.8677  0.2761
In  0.2920  0.6624  0.6296
In  0.4084  0.1323  0.2761
In  0.5000  0.0000  0.5000
In  0.5916  0.8677  0.7239
In  0.7080  0.3376  0.3704
In  0.8562  0.1323  0.7239
In  0.9672  0.3376  0.6296
Ag  0.2886  0.5000  0.7886
Ag  0.7114  0.5000  0.2114

The 12 most intense peaks (2θ = 5–70°), by angle:
2θ = 26.42°, rel. 17; 2θ = 29.96°, rel. 40; 2θ = 30.46°, rel. 23; 2θ = 30.86°, rel. 100; 2θ = 32.61°, rel. 14; 2θ = 36.85°, rel. 35; 2θ = 37.29°, rel. 10; 2θ = 38.56°, rel. 19; 2θ = 48.53°, rel. 13; 2θ = 54.40°, rel. 14; 2θ = 55.83°, rel. 18; 2θ = 62.68°, rel. 17

=====

2.
Theoretical XRD peak list
Compound: CrRhI
Radiation: CuKα
Structure: a PBE-relaxed structure
Peak positions follow from Bragg's law for the DFT cell and can differ from measured ones.

Cell and atoms:
Unit cell a=10.6167 b=3.7131 c=3.7131 alpha=60.07 beta=90.00 gamma=90.00
Element x y z (fractional)
Cr  0.0000  0.0000  0.0000
Cr  0.5000  0.3354  0.3354
Rh  0.3789  0.0020  0.0020
Rh  0.6211  0.0020  0.0020
I  0.1905  0.6673  0.6673
I  0.8095  0.6673  0.6673

The 12 most intense peaks (2θ = 5–70°), by angle:
2θ = 8.33°, rel. 18; 2θ = 27.73°, rel. 36; 2θ = 29.00°, rel. 46; 2θ = 32.55°, rel. 68; 2θ = 37.79°, rel. 100; 2θ = 42.58°, rel. 15; 2θ = 44.24°, rel. 19; 2θ = 49.05°, rel. 57; 2θ = 51.58°, rel. 27; 2θ = 60.11°, rel. 11; 2θ = 63.54°, rel. 21; 2θ = 66.94°, rel. 23

=====

3.
Theoretical XRD peak list
Compound: SmSc2Te
Radiation: CuKα
Structure: a PBE-relaxed structure
Peak positions follow from Bragg's law for the DFT cell and can differ from measured ones.

Cell and atoms:
Unit cell a=14.9554 b=9.1511 c=6.1590 alpha=90.00 beta=90.00 gamma=90.00
Element x y z (fractional)
Sm  0.1103  0.2500  0.2102
Sm  0.1300  0.7500  0.9913
Sm  0.3700  0.2500  0.4913
Sm  0.3897  0.7500  0.7102
Sm  0.6103  0.2500  0.2898
Sm  0.6300  0.7500  0.5087
Sm  0.8700  0.2500  0.0087
Sm  0.8897  0.7500  0.7898
Sc  0.0325  0.0383  0.7582
Sc  0.0325  0.4617  0.7582
Sc  0.2169  0.5347  0.4746
Sc  0.2169  0.9653  0.4746
Sc  0.2831  0.0347  0.9746
Sc  0.2831  0.4653  0.9746
Sc  0.4675  0.5383  0.2582
Sc  0.4675  0.9617  0.2582
Sc  0.5325  0.0383  0.7418
Sc  0.5325  0.4617  0.7418
Sc  0.7169  0.5347  0.0254
Sc  0.7169  0.9653  0.0254
Sc  0.7831  0.0347  0.5254
Sc  0.7831  0.4653  0.5254
Sc  0.9675  0.5383  0.2418
Sc  0.9675  0.9617  0.2418
Te  0.0677  0.7500  0.5111
Te  0.1810  0.2500  0.7089
Te  0.3190  0.7500  0.2089
Te  0.4323  0.2500  0.0111
Te  0.5677  0.7500  0.9889
Te  0.6810  0.2500  0.7911
Te  0.8190  0.7500  0.2911
Te  0.9323  0.2500  0.4889

The 12 most intense peaks (2θ = 5–70°), by angle:
2θ = 19.40°, rel. 62; 2θ = 30.22°, rel. 21; 2θ = 30.89°, rel. 51; 2θ = 32.94°, rel. 100; 2θ = 34.22°, rel. 23; 2θ = 34.75°, rel. 23; 2θ = 37.19°, rel. 22; 2θ = 39.39°, rel. 30; 2θ = 43.48°, rel. 35; 2θ = 44.91°, rel. 19; 2θ = 60.09°, rel. 27; 2θ = 61.24°, rel. 20

=====

4.
Theoretical XRD peak list
Compound: Dy2AsO5
Radiation: CuKα
Structure: a PBE-relaxed structure
Peak positions follow from Bragg's law for the DFT cell and can differ from measured ones.

Cell and atoms:
Unit cell a=9.0666 b=7.2562 c=6.6886 alpha=90.00 beta=91.36 gamma=90.00
Element x y z (fractional)
Dy  0.0236  0.1230  0.2287
Dy  0.0236  0.3770  0.7287
Dy  0.3449  0.1439  0.9296
Dy  0.3449  0.3561  0.4296
Dy  0.6551  0.6439  0.5704
Dy  0.6551  0.8561  0.0704
Dy  0.9764  0.6230  0.2713
Dy  0.9764  0.8770  0.7713
As  0.3199  0.6079  0.9118
As  0.3199  0.8921  0.4118
As  0.6801  0.1079  0.5882
As  0.6801  0.3921  0.0882
O  0.0970  0.1191  0.9034
O  0.0970  0.3809  0.4034
O  0.1206  0.6412  0.9373
O  0.1206  0.8588  0.4373
O  0.2740  0.1109  0.2450
O  0.2740  0.3891  0.7450
O  0.3613  0.0529  0.6063
O  0.3613  0.4471  0.1063
O  0.3939  0.6791  0.5363
O  0.3939  0.8209  0.0363
O  0.6061  0.1791  0.9637
O  0.6061  0.3209  0.4637
O  0.6387  0.5529  0.8937
O  0.6387  0.9471  0.3937
O  0.7260  0.6109  0.2550
O  0.7260  0.8891  0.7550
O  0.8794  0.1412  0.5627
O  0.8794  0.3588  0.0627
O  0.9030  0.6191  0.5966
O  0.9030  0.8809  0.0966

The 12 most intense peaks (2θ = 5–70°), by angle:
2θ = 15.64°, rel. 20; 2θ = 28.23°, rel. 56; 2θ = 29.57°, rel. 53; 2θ = 29.81°, rel. 100; 2θ = 33.69°, rel. 24; 2θ = 34.20°, rel. 45; 2θ = 47.92°, rel. 48; 2θ = 49.62°, rel. 29; 2θ = 50.30°, rel. 14; 2θ = 56.73°, rel. 12; 2θ = 57.87°, rel. 15; 2θ = 58.69°, rel. 15

=====

5.
Theoretical XRD peak list
Compound: LiTi2Re
Radiation: CuKα
Structure: a PBE-relaxed structure
Peak positions follow from Bragg's law for the DFT cell and can differ from measured ones.

Cell and atoms:
Unit cell a=4.3756 b=4.3756 c=3.1583 alpha=90.00 beta=90.00 gamma=90.00
Element x y z (fractional)
Li  0.0000  0.0000  0.0000
Ti  0.0000  0.5000  0.5000
Ti  0.5000  0.0000  0.5000
Re  0.5000  0.5000  0.0000

The 12 most intense peaks (2θ = 5–70°), by angle:
2θ = 20.30°, rel. 100; 2θ = 28.26°, rel. 6; 2θ = 28.86°, rel. 11; 2θ = 35.04°, rel. 51; 2θ = 40.83°, rel. 85; 2θ = 41.27°, rel. 41; 2θ = 46.40°, rel. 24; 2θ = 50.77°, rel. 6; 2θ = 55.22°, rel. 28; 2θ = 58.44°, rel. 7; 2θ = 59.78°, rel. 13; 2θ = 62.53°, rel. 10

=====

6.
Theoretical XRD peak list
Compound: LiCuNi
Radiation: CuKα
Structure: a PBE-relaxed structure
Peak positions follow from Bragg's law for the DFT cell and can differ from measured ones.

Cell and atoms:
Unit cell a=4.3958 b=4.3958 c=4.7879 alpha=115.79 beta=115.79 gamma=60.18
Element x y z (fractional)
Li  0.1665  0.1665  0.4957
Li  0.8335  0.8335  0.5043
Cu  0.3384  0.0022  0.0001
Cu  0.9978  0.6616  0.9999
Ni  0.5036  0.4964  0.5000
Ni  0.6547  0.3453  0.0000

The 12 most intense peaks (2θ = 5–70°), by angle:
2θ = 21.47°, rel. 100; 2θ = 24.31°, rel. 38; 2θ = 24.70°, rel. 21; 2θ = 27.64°, rel. 21; 2θ = 40.95°, rel. 38; 2θ = 41.08°, rel. 68; 2θ = 43.75°, rel. 79; 2θ = 46.26°, rel. 98; 2θ = 46.70°, rel. 91; 2θ = 47.36°, rel. 91; 2θ = 60.65°, rel. 20; 2θ = 61.47°, rel. 21